The following is a calculated X-ray diffraction stick pattern of MnAg2RuF8. It was derived from a GGA+U-relaxed structure, using copper Kα.
Peak positions follow from Bragg's law for the DFT cell and can differ from measured ones.

Largest 8 diffraction maxima, in order of falling intensity, 2θ = 10–80°:
2θ 31.41, d 2.848, I 100, hkl 0 2 1; 2θ 23.29, d 3.820, I 84, hkl 1 0 -1; 2θ 24.04, d 3.702, I 65, hkl 1 0 1; 2θ 46.25, d 1.963, I 29, hkl 1 2 -2; 2θ 46.42, d 1.956, I 28, hkl 2 2 -1; 2θ 47.08, d 1.930, I 19, hkl 1 2 2; 2θ 47.25, d 1.924, I 19, hkl 2 2 1; 2θ 49.23, d 1.851, I 16, hkl 2 0 2

Crystal structure
Lattice parameters (Å, degrees): 5.297 6.744 5.342 90.00 91.80 90.00
Space group P2/m (No. 10)
Inequivalent atoms, fractional coordinates:
Mn  0.000  0.000  0.000
Ag  0.500  0.245  0.500
Ru  0.000  0.500  0.000
F  0.168  0.275  0.827
F  0.265  0.500  0.255
F  0.275  0.000  0.269